Record 1
The following is a computed X-ray diffraction stick pattern of Co9Pb2. It was derived from a crystal structure in OQMD, relaxed with GGA-PBE, using copper Kα.

Crystal structure
Unit cell a=2.8386 b=2.8386 c=31.9947 alpha=90.00 beta=90.00 gamma=120.00
Fractional coordinates of all 11 atoms:
Co 0.0000 0.0000 0.0000
Co 0.0000 0.0000 0.1701
Co 0.0000 0.0000 0.8299
Co 0.3333 0.6667 0.1128
Co 0.3333 0.6667 0.7742
Co 0.3333 0.6667 0.9435
Co 0.6667 0.3333 0.0565
Co 0.6667 0.3333 0.2258
Co 0.6667 0.3333 0.8872
Pb 0.3333 0.6667 0.3006
Pb 0.6667 0.3333 0.6994

Main lines, by intensity (15° ≤ 2θ ≤ 90°):
2θ 40.40, d 2.232, I 100.0, hkl 1 0 6; 2θ 48.49, d 1.878, I 50.5, hkl 0 1 11; 2θ 39.26, d 2.295, I 49.3, hkl 1 0 5; 2θ 38.30, d 2.350, I 30.8, hkl 1 0 4; 2θ 65.81, d 1.419, I 27.6, hkl 1 1 0; 2θ 85.77, d 1.133, I 24.9, hkl 2 0 11; 2θ 36.66, d 2.451, I 23.6, hkl 0 1 1; 2θ 44.83, d 2.022, I 22.5, hkl 0 1 9; 2θ 50.50, d 1.807, I 22.3, hkl 0 1 12; 2θ 37.00, d 2.430, I 21.4, hkl 1 0 2

***

Record 2
The following is a computed X-ray diffraction stick pattern of NdTlNO. It was derived from a crystal structure in OQMD, relaxed with GGA-PBE, using copper Kα.

Crystal structure
Unit cell a=6.9014 b=7.7467 c=6.0022 alpha=90.00 beta=90.00 gamma=90.00
Fractional coordinates of all 16 atoms:
Nd 0.0795 0.1349 0.0000
Nd 0.4205 0.1349 0.5000
Nd 0.5795 0.8651 0.0000
Nd 0.9205 0.8651 0.5000
Tl 0.0901 0.6420 0.0016
Tl 0.4099 0.6420 0.5016
Tl 0.5901 0.3580 0.0016
Tl 0.9099 0.3580 0.5016
N 0.0958 0.1120 0.6102
N 0.4042 0.1120 0.1102
N 0.5958 0.8880 0.6102
N 0.9042 0.8880 0.1102
O 0.0679 0.6091 0.6001
O 0.4321 0.6091 0.1001
O 0.5679 0.3909 0.6001
O 0.9321 0.3909 0.1001

Main lines, by intensity (15° ≤ 2θ ≤ 90°):
2θ 29.82, d 2.996, I 100.0, hkl 0 0 2; 2θ 30.37, d 2.944, I 97.6, hkl 1 2 1; 2θ 26.39, d 3.378, I 34.3, hkl 1 2 0; 2θ 56.59, d 1.626, I 29.6, hkl 0 4 2; 2θ 55.65, d 1.651, I 29.4, hkl 3 2 2; 2θ 45.88, d 1.978, I 28.7, hkl 3 2 0; 2θ 53.21, d 1.721, I 25.4, hkl 1 2 3; 2θ 40.20, d 2.243, I 20.0, hkl 1 2 2; 2θ 25.82, d 3.451, I 16.5, hkl 2 0 0; 2θ 52.90, d 1.731, I 14.0, hkl 2 0 3

***

Record 3
The following is a computed X-ray diffraction stick pattern of Co5As2. It was derived from a crystal structure in OQMD, relaxed with GGA-PBE, using copper Kα.

Crystal structure
Unit cell a=6.7684 b=6.7684 c=12.3297 alpha=90.00 beta=90.00 gamma=120.00
Fractional coordinates of all 42 atoms:
Co 0.0000 0.0000 0.0238
Co 0.0000 0.0000 0.5238
Co 0.0000 0.2700 0.6941
Co 0.0000 0.3077 0.8990
Co 0.0000 0.3692 0.5000
Co 0.0000 0.3732 0.2888
Co 0.0000 0.6268 0.7888
Co 0.0000 0.6308 0.0000
Co 0.0000 0.6923 0.3990
Co 0.0000 0.7300 0.1941
Co 0.2700 0.0000 0.6941
Co 0.2700 0.2700 0.1941
Co 0.3077 0.0000 0.8990
Co 0.3077 0.3077 0.3990
Co 0.3333 0.6667 0.1626
Co 0.3333 0.6667 0.6626
Co 0.3692 0.0000 0.5000
Co 0.3692 0.3692 0.0000
Co 0.3732 0.0000 0.2888
Co 0.3732 0.3732 0.7888
Co 0.6268 0.0000 0.7888
Co 0.6268 0.6268 0.2888
Co 0.6308 0.0000 0.0000
Co 0.6308 0.6308 0.5000
Co 0.6667 0.3333 0.1626
Co 0.6667 0.3333 0.6626
Co 0.6923 0.0000 0.3990
Co 0.6923 0.6923 0.8990
Co 0.7300 0.0000 0.1941
Co 0.7300 0.7300 0.6941
As 0.0000 0.0000 0.3224
As 0.0000 0.0000 0.8224
As 0.0000 0.3296 0.0927
As 0.0000 0.6704 0.5927
As 0.3296 0.0000 0.0927
As 0.3296 0.3296 0.5927
As 0.3333 0.6667 0.3662
As 0.3333 0.6667 0.8662
As 0.6667 0.3333 0.3662
As 0.6667 0.3333 0.8662
As 0.6704 0.0000 0.5927
As 0.6704 0.6704 0.0927

Main lines, by intensity (15° ≤ 2θ ≤ 90°):
2θ 46.48, d 1.954, I 100.0, hkl 3 0 0; 2θ 45.51, d 1.993, I 84.5, hkl 1 1 5; 2θ 42.56, d 2.124, I 21.6, hkl 2 0 4; 2θ 67.08, d 1.395, I 17.0, hkl 2 2 5; 2θ 85.52, d 1.136, I 14.2, hkl 4 1 5; 2θ 41.41, d 2.181, I 13.5, hkl 2 1 1; 2θ 52.07, d 1.756, I 12.7, hkl 1 1 6; 2θ 77.43, d 1.233, I 12.4, hkl 0 0 10; 2θ 50.75, d 1.799, I 11.6, hkl 2 1 4; 2θ 86.22, d 1.128, I 9.8, hkl 3 3 0

***

Record 4
The following is a computed X-ray diffraction stick pattern of LuMgPb2. It was derived from a crystal structure in OQMD, relaxed with GGA-PBE, using copper Kα.

Crystal structure
Unit cell a=7.6553 b=7.6553 c=7.6553 alpha=90.00 beta=90.00 gamma=90.00
Fractional coordinates of all 16 atoms:
Lu 0.0000 0.0000 0.0000
Lu 0.0000 0.5000 0.5000
Lu 0.5000 0.0000 0.5000
Lu 0.5000 0.5000 0.0000
Mg 0.2500 0.2500 0.7500
Mg 0.2500 0.7500 0.2500
Mg 0.7500 0.2500 0.2500
Mg 0.7500 0.7500 0.7500
Pb 0.0000 0.0000 0.5000
Pb 0.0000 0.5000 0.0000
Pb 0.2500 0.2500 0.2500
Pb 0.2500 0.7500 0.7500
Pb 0.5000 0.0000 0.0000
Pb 0.5000 0.5000 0.5000
Pb 0.7500 0.2500 0.7500
Pb 0.7500 0.7500 0.2500

Main lines, by intensity (15° ≤ 2θ ≤ 90°):
2θ 33.10, d 2.707, I 100.0, hkl 2 2 0; 2θ 59.12, d 1.563, I 39.0, hkl 4 2 2; 2θ 20.09, d 4.420, I 19.6, hkl 1 1 1; 2θ 47.51, d 1.914, I 18.5, hkl 4 0 0; 2θ 79.12, d 1.210, I 17.2, hkl 6 2 0; 2θ 69.45, d 1.353, I 12.2, hkl 4 4 0; 2θ 39.02, d 2.308, I 11.6, hkl 3 1 1; 2θ 23.24, d 3.828, I 7.1, hkl 2 0 0; 2θ 52.07, d 1.756, I 5.2, hkl 3 3 1; 2θ 88.49, d 1.105, I 4.5, hkl 4 4 4

***

Record 5
The following is a computed X-ray diffraction stick pattern of Ac2Pt2O5. It was derived from a crystal structure in OQMD, relaxed with GGA-PBE, using copper Kα.

Crystal structure
Unit cell a=4.1601 b=4.1601 c=7.3416 alpha=90.00 beta=90.00 gamma=90.00
Fractional coordinates of all 9 atoms:
Ac 0.0000 0.0000 0.0000
Ac 0.0000 0.0000 0.5000
Pt 0.5000 0.5000 0.1952
Pt 0.5000 0.5000 0.8048
O 0.0000 0.5000 0.2358
O 0.0000 0.5000 0.7642
O 0.5000 0.0000 0.2358
O 0.5000 0.0000 0.7642
O 0.5000 0.5000 0.5000

Main lines, by intensity (15° ≤ 2θ ≤ 90°):
2θ 32.53, d 2.752, I 100.0, hkl 1 0 2; 2θ 30.39, d 2.942, I 68.6, hkl 1 1 0; 2θ 55.36, d 1.659, I 46.0, hkl 2 1 2; 2θ 43.51, d 2.080, I 35.8, hkl 2 0 0; 2θ 88.92, d 1.101, I 13.1, hkl 3 2 2; 2θ 71.75, d 1.316, I 12.8, hkl 3 1 0; 2θ 63.22, d 1.471, I 11.7, hkl 2 2 0; 2θ 42.87, d 2.109, I 10.9, hkl 1 0 3; 2θ 72.92, d 1.297, I 10.4, hkl 3 0 2; 2θ 59.35, d 1.557, I 8.2, hkl 1 1 4

***

Record 6
The following is a computed X-ray diffraction stick pattern of Zr4Si3. It was derived from a crystal structure in OQMD, relaxed with GGA-PBE, using copper Kα.

Crystal structure
Unit cell a=8.2314 b=8.2314 c=5.2675 alpha=90.00 beta=90.00 gamma=120.00
Fractional coordinates of all 14 atoms:
Zr 0.0582 0.3730 0.2500
Zr 0.3148 0.9418 0.2500
Zr 0.3333 0.6667 0.7500
Zr 0.3730 0.3148 0.7500
Zr 0.6270 0.6852 0.2500
Zr 0.6667 0.3333 0.2500
Zr 0.6852 0.0582 0.7500
Zr 0.9418 0.6270 0.7500
Si 0.0319 0.3351 0.7500
Si 0.3032 0.9681 0.7500
Si 0.3351 0.3032 0.2500
Si 0.6649 0.6968 0.7500
Si 0.6968 0.0319 0.2500
Si 0.9681 0.6649 0.2500

Main lines, by intensity (15° ≤ 2θ ≤ 90°):
2θ 37.86, d 2.376, I 100.0, hkl 3 0 0; 2θ 51.82, d 1.764, I 78.7, hkl 3 0 2; 2θ 27.50, d 3.243, I 74.7, hkl 1 1 1; 2θ 34.04, d 2.634, I 70.0, hkl 0 0 2; 2θ 30.28, d 2.952, I 61.4, hkl 2 0 1; 2θ 37.49, d 2.399, I 45.3, hkl 2 1 1; 2θ 33.25, d 2.694, I 43.7, hkl 2 1 0; 2θ 84.04, d 1.152, I 31.6, hkl 3 0 4; 2θ 48.32, d 1.883, I 29.5, hkl 2 1 2; 2θ 59.15, d 1.562, I 29.3, hkl 2 3 1